Starting from a DFT-relaxed cell (GGA+U, the Materials Project), the powder diffractogram of NaFeMo2O8 was simulated for copper Kα.
Peak positions follow from Bragg's law for the DFT cell and can differ from measured ones.

Lattice parameters (Å, degrees): 10.021 5.393 14.002 90.00 90.02 90.00
Space group C2/c (No. 15)
Inequivalent atoms, fractional coordinates:
Na 0.000 0.073 0.250 [4 per cell]
Fe 0.000 0.000 0.000 [4 per cell]
Mo 0.174 0.467 0.618 [8 per cell]
O 0.077 0.179 0.615 [8 per cell]
O 0.100 0.311 0.039 [8 per cell]
O 0.153 0.093 0.415 [8 per cell]
O 0.167 0.405 0.232 [8 per cell]

Top 10 peaks for 2θ from 10° to 90°, in order of falling intensity:
22.62 deg, I 100
21.81 deg, I 49
31.50 deg, I 42
31.76 deg, I 20
31.17 deg, I 17
33.22 deg, I 13
12.64 deg, I 13
46.19 deg, I 12
62.32 deg, I 11
55.51 deg, I 11

---

Starting from a DFT-relaxed cell (GGA+U, the Materials Project), the powder diffractogram of Fe2Mo4O7 was simulated for copper Kα.
Peak positions follow from Bragg's law for the DFT cell and can differ from measured ones.

Lattice parameters (Å, degrees): 18.922 6.317 6.239 90.00 108.92 90.00
Space group C2/m (No. 12)
Inequivalent atoms, fractional coordinates:
Fe 0.193 0.000 0.441 [4 per cell]
Fe 0.250 0.250 0.000 [4 per cell]
Mo 0.001 0.243 0.751 [8 per cell]
Mo 0.125 0.500 0.136 [4 per cell]
Mo 0.126 0.500 0.618 [4 per cell]
O 0.000 0.000 0.000 [2 per cell]
O 0.000 0.000 0.500 [2 per cell]
O 0.119 0.288 0.879 [8 per cell]
O 0.121 0.259 0.361 [8 per cell]
O 0.241 0.500 0.229 [4 per cell]
O 0.242 0.500 0.768 [4 per cell]

Top 10 peaks for 2θ from 10° to 90°, in order of falling intensity:
40.65 deg, I 100
58.45 deg, I 70
34.76 deg, I 69
28.66 deg, I 66
40.31 deg, I 52
14.87 deg, I 51
29.99 deg, I 49
58.72 deg, I 48
35.17 deg, I 43
20.48 deg, I 42

---

Starting from a DFT-relaxed cell (GGA+U, the Materials Project), the powder diffractogram of Fe2Mo3O12 was simulated for copper Kα.
Peak positions follow from Bragg's law for the DFT cell and can differ from measured ones.

Lattice parameters (Å, degrees): 6.934 8.663 10.377 108.50 103.48 103.76
Space group P-1 (No. 2)
Inequivalent atoms, fractional coordinates:
Fe 0.046 0.203 0.013 [2 per cell]
Fe 0.376 0.958 0.609 [2 per cell]
Mo 0.121 0.103 0.337 [2 per cell]
Mo 0.212 0.667 0.260 [2 per cell]
Mo 0.405 0.744 0.868 [2 per cell]
O 0.024 0.737 0.160 [2 per cell]
O 0.072 0.058 0.143 [2 per cell]
O 0.118 0.996 0.637 [2 per cell]
O 0.161 0.440 0.169 [2 per cell]
O 0.179 0.321 0.419 [2 per cell]
O 0.221 0.725 0.444 [2 per cell]
O 0.238 0.809 0.971 [2 per cell]
O 0.286 0.526 0.759 [2 per cell]
O 0.334 0.218 0.014 [2 per cell]
O 0.342 0.043 0.429 [2 per cell]
O 0.431 0.865 0.753 [2 per cell]
O 0.466 0.786 0.266 [2 per cell]

Top 10 peaks for 2θ from 10° to 90°, in order of falling intensity:
26.49 deg, I 100
11.44 deg, I 41
28.30 deg, I 39
26.66 deg, I 35
21.23 deg, I 22
32.42 deg, I 21
14.02 deg, I 18
24.13 deg, I 16
17.59 deg, I 16
39.78 deg, I 15

---

Starting from a DFT-relaxed cell (GGA+U, the Materials Project), the powder diffractogram of FeMo2O10 was simulated for copper Kα.
Peak positions follow from Bragg's law for the DFT cell and can differ from measured ones.

Lattice parameters (Å, degrees): 6.461 8.061 9.391 69.53 89.60 74.37
Space group P-1 (No. 2)
Inequivalent atoms, fractional coordinates:
Fe 0.099 0.293 0.368 [2 per cell]
Mo 0.094 0.809 0.932 [2 per cell]
Mo 0.222 0.216 0.760 [2 per cell]
O 0.048 0.464 0.693 [2 per cell]
O 0.059 0.162 0.251 [2 per cell]
O 0.077 0.857 0.127 [2 per cell]
O 0.151 0.185 0.577 [2 per cell]
O 0.193 0.191 0.975 [2 per cell]
O 0.239 0.580 0.999 [2 per cell]
O 0.298 0.930 0.851 [2 per cell]
O 0.363 0.832 0.532 [2 per cell]
O 0.477 0.240 0.743 [2 per cell]
O 0.493 0.235 0.361 [2 per cell]

Top 10 peaks for 2θ from 10° to 90°, in order of falling intensity:
14.30 deg, I 100
24.59 deg, I 70
18.33 deg, I 69
28.54 deg, I 51
30.35 deg, I 46
17.21 deg, I 31
10.10 deg, I 30
23.36 deg, I 26
12.23 deg, I 26
20.51 deg, I 24

---

Starting from a DFT-relaxed cell (GGA+U, the Materials Project), the powder diffractogram of FeMoO was simulated for copper Kα.
Peak positions follow from Bragg's law for the DFT cell and can differ from measured ones.

Lattice parameters (Å, degrees): 2.9053 2.9053 5.0951 90.00 90.00 120.00
Space group P3m1 (No. 156)
Inequivalent atoms, fractional coordinates:
Fe 0.0000 0.0000 0.0000 [1 per cell]
Mo 0.6667 0.3333 0.4245 [1 per cell]
O 0.3333 0.6667 0.7032 [1 per cell]

Top 10 peaks for 2θ from 10° to 90°, in order of falling intensity:
39.96 deg, I 100
51.02 deg, I 30
35.23 deg, I 19
35.68 deg, I 18
64.11 deg, I 18
66.41 deg, I 14
17.41 deg, I 13
78.28 deg, I 13
75.31 deg, I 12
85.43 deg, I 8